Starting from a cell relaxed with PBE, the X-ray diffraction stick pattern of Pr4Sm3Y4 was calculated for Cu Kα (λ = 1.5418 Å).

Top 10 peaks for 10° ≤ 2θ ≤ 90°, in order of falling intensity:
2theta	I (rel.)
30.83	100.0
30.68	62.9
31.33	59.5
31.79	33.8
57.21	28.6
42.13	26.0
56.23	23.2
34.66	19.9
30.37	19.6
60.16	18.2

Structural model:
Cell: 12.349 12.349 12.349 Å, 163.13 134.82 48.55°
Sites, in units of the cell vectors:
1 Pr 0.033 0.856 0.177
2 Pr 0.322 0.144 0.177
3 Pr 0.678 0.856 0.823
4 Pr 0.967 0.144 0.823
5 Sm 0.000 0.500 0.500
6 Sm 0.392 0.392 0.000
7 Sm 0.608 0.608 0.000
8 Y 0.259 0.759 0.500
9 Y 0.318 0.000 0.318
10 Y 0.682 0.000 0.682
11 Y 0.741 0.241 0.500